No. 1
NaMgMn4O8: simulated X-ray diffraction stick pattern (CuKα), based on a crystal structure in the Materials Project, relaxed with GGA+U.

Main lines, most intense first (2θ = 15–90°):
Position (°2θ), intensity
17.44, 100
42.04, 63
40.90, 34
34.84, 19
60.42, 18
59.77, 17
36.21, 15
17.67, 12

```
NaMgMn4O8
1.0
5.347 -3.000 0.000
5.347 3.000 0.000
-3.480 0.000 5.086
Na Mg Mn O
1 1 4 8
Cartesian
0.000 0.000 0.000
5.347 0.000 0.000
-1.740 0.000 2.543
0.933 1.500 2.543
0.933 -1.500 2.543
3.607 0.000 2.543
2.592 1.364 3.584
1.633 0.000 1.513
0.238 0.000 3.617
4.622 1.364 1.502
2.592 -1.364 3.584
6.976 0.000 1.469
5.581 0.000 3.573
4.622 -1.364 1.502
```

---

No. 2
La3FeO6: simulated X-ray diffraction stick pattern (CuKα), based on a crystal structure in the Materials Project, relaxed with GGA+U.

Main lines, most intense first (2θ = 15–90°):
Position (°2θ), intensity
28.73, 100
28.99, 37
43.35, 23
43.89, 20
47.98, 19
31.18, 19
56.30, 16
29.35, 15

```
La3FeO6
1.0
4.722 -5.938 0.000
4.722 5.938 0.000
0.000 0.000 5.737
La Fe O
6 2 12
Cartesian
4.722 4.692 2.869
2.888 1.274 3.081
2.888 -1.274 0.212
6.556 1.274 3.081
6.556 -1.274 0.212
4.722 -4.692 0.000
4.722 2.279 0.415
4.722 -2.279 3.284
3.278 3.098 1.381
1.506 0.136 1.558
1.506 -0.136 4.427
4.722 2.546 4.257
6.167 3.098 1.381
4.722 0.524 1.168
4.722 -0.524 4.037
3.278 -3.098 4.250
4.722 -2.546 1.388
7.939 0.136 1.558
7.939 -0.136 4.427
6.167 -3.098 4.250
```

---

No. 3
Li9Co7O16: simulated X-ray diffraction stick pattern (CuKα), based on a crystal structure in the Materials Project, relaxed with GGA+U.

Main lines, most intense first (2θ = 15–90°):
Position (°2θ), intensity
18.49, 100
43.48, 27
44.18, 26
44.43, 25
36.02, 14
63.99, 14
36.48, 14
36.65, 13

```
Li9Co7O16
1.0
5.003 0.000 0.000
-1.733 7.473 0.000
-1.563 -1.421 7.447
Li Co O
9 7 16
Cartesian
0.000 0.000 0.000
3.399 0.740 5.636
-2.490 5.653 4.743
-1.679 5.244 1.964
-1.641 3.069 3.809
0.918 -0.352 6.523
0.784 6.367 0.998
0.900 1.905 4.719
0.877 4.166 2.900
-0.853 2.636 0.982
-2.447 3.477 6.517
-0.789 0.330 2.912
-0.022 6.712 3.835
1.637 3.728 0.037
1.685 1.500 1.951
0.048 4.550 5.638
-0.083 4.397 0.824
0.039 2.181 2.793
-0.835 2.792 5.707
-1.578 5.100 6.554
0.804 1.928 0.106
0.908 -0.376 2.076
0.193 -0.002 4.617
-0.672 4.990 3.903
0.755 6.338 5.546
2.502 1.023 3.756
1.584 6.127 2.890
0.920 4.137 7.350
2.523 3.363 1.871
3.329 0.905 1.043
1.691 3.788 4.914
1.759 1.718 6.629
```

---

No. 4
TiV3P6O24: simulated X-ray diffraction stick pattern (CuKα), based on a crystal structure in the Materials Project, relaxed with GGA+U.

Main lines, most intense first (2θ = 15–90°):
Position (°2θ), intensity
24.18, 100
20.30, 51
29.20, 43
32.43, 25
20.76, 22
53.47, 16
32.23, 15
46.63, 11

```
TiV3P6O24
1.0
4.278 2.470 7.227
-4.278 2.470 7.227
0.000 -4.940 7.227
Ti V P O
1 3 6 24
Cartesian
0.000 0.000 0.000
0.000 0.000 6.062
0.000 0.000 10.804
0.000 0.000 16.916
-2.406 -0.017 8.457
-1.854 -2.464 12.063
1.217 -2.075 8.457
-1.207 2.838 12.063
1.188 2.092 8.457
3.061 -0.373 12.063
-0.561 -1.431 5.000
-3.310 1.206 8.308
-1.542 -0.245 7.193
-2.700 -2.260 13.311
-0.958 1.201 5.000
0.611 -3.469 8.308
-1.564 0.169 9.710
-0.932 -1.259 11.898
0.983 -1.213 7.193
1.519 0.230 5.000
0.636 -1.439 9.710
0.559 1.458 7.193
-1.514 0.245 15.848
-0.624 1.437 11.898
-0.975 -1.223 18.033
0.928 1.270 9.710
0.545 -1.434 15.848
1.556 -0.178 11.898
-0.607 3.469 13.311
2.699 2.263 8.308
-0.572 1.456 18.033
3.308 -1.208 13.311
0.969 1.189 15.848
1.547 -0.233 18.033
```

---

No. 5
LiV3OF11: simulated X-ray diffraction stick pattern (CuKα), based on a crystal structure in the Materials Project, relaxed with GGA+U.

Main lines, most intense first (2θ = 15–90°):
Position (°2θ), intensity
17.46, 100
24.95, 83
25.14, 83
54.19, 15
47.72, 15
35.35, 15
32.85, 14
48.15, 14

```
LiV3OF11
1.0
5.287 0.000 0.000
0.046 5.452 0.000
0.025 2.623 15.236
Li V O F
2 6 2 22
Cartesian
0.000 0.000 0.000
2.231 2.690 0.242
1.049 6.599 7.719
1.031 3.905 2.799
1.092 3.880 12.767
3.500 1.335 2.727
3.669 3.872 7.719
3.718 6.570 12.628
1.390 3.901 14.445
2.500 2.707 2.312
0.481 3.689 11.071
0.578 1.077 6.001
0.709 3.863 0.908
1.473 3.993 4.483
1.507 6.663 9.422
2.066 2.773 7.372
2.113 5.533 12.330
2.110 5.464 2.354
2.635 5.497 7.354
2.678 2.735 12.342
3.237 6.620 14.437
3.222 3.961 9.422
3.295 1.106 4.484
4.044 1.116 0.880
4.109 3.767 6.006
4.222 6.464 10.964
4.687 4.979 13.084
4.704 2.240 8.077
4.788 5.062 2.901
5.178 2.377 3.026
5.256 7.631 13.210
5.268 4.976 8.053
```

---

No. 6
MgV4ZnO10: simulated X-ray diffraction stick pattern (CuKα), based on a crystal structure in the Materials Project, relaxed with GGA+U.

Main lines, most intense first (2θ = 15–90°):
Position (°2θ), intensity
17.13, 100
22.85, 75
27.88, 71
28.49, 55
26.81, 52
35.34, 51
52.10, 31
53.69, 31

```
MgV4ZnO10
1.0
3.511 0.000 0.000
0.000 11.805 0.000
-1.745 0.000 5.176
Mg V Zn O
1 4 1 10
Cartesian
0.000 0.000 0.000
0.012 1.744 2.879
0.012 10.061 2.879
1.769 4.137 2.105
1.769 7.668 2.105
0.015 5.903 4.194
0.010 0.000 1.965
0.013 3.780 2.840
0.013 8.025 2.840
0.011 1.253 4.527
0.011 10.553 4.527
1.768 4.521 0.474
1.768 7.284 0.474
1.768 2.151 2.216
1.768 9.654 2.216
1.770 5.903 3.129
```

---

No. 7
Li7Mn5O12: simulated X-ray diffraction stick pattern (CuKα), based on a crystal structure in the Materials Project, relaxed with GGA+U.

Main lines, most intense first (2θ = 15–90°):
Position (°2θ), intensity
18.29, 100
44.06, 58
41.39, 35
36.20, 23
34.30, 21
62.23, 17
61.86, 16
47.11, 10

```
Li7Mn5O12
1.0
2.880 0.000 0.000
-1.437 7.914 0.000
-1.435 -1.317 9.703
Li Mn O
7 5 12
Cartesian
0.000 0.000 0.000
-1.435 2.261 7.263
0.001 1.658 2.332
0.004 -0.400 7.326
0.005 6.997 2.377
0.008 4.939 7.371
1.443 4.336 2.440
-1.431 5.917 4.883
-1.433 4.015 9.686
0.004 3.299 4.852
1.442 2.582 0.017
1.440 0.680 4.820
-1.432 0.627 8.593
-1.433 3.958 6.008
-0.001 -0.017 3.681
0.004 3.498 1.025
-1.432 5.500 8.639
0.000 1.332 5.982
0.009 5.265 3.721
1.440 1.097 1.064
0.005 3.099 8.678
0.010 6.614 6.022
1.442 2.639 3.695
1.441 5.970 1.110
```